Record 1
KGeCl3: computed PXRD pattern (CuKα), based on the PBE geometry in Alexandria.
Intensities are scaled so that the largest is 100.

Structure:
Unit cell a=7.7453 b=7.7453 c=20.1307 alpha=90.00 beta=90.00 gamma=120.00
Space group R3c (No. 161, hexagonal axes)
Inequivalent atoms, fractional coordinates:
K 0.0000 0.0000 0.0000 (multiplicity 6)
Ge 0.0000 0.0000 0.1924 (multiplicity 6)
Cl 0.0904 0.3921 0.2948 (multiplicity 18)

Principal peaks in the range 2θ from 15° to 90°, in order of rising 2θ:
two_theta, I_rel, hkl
15.88, 100, 0 1 2
22.08, 31, 1 0 4
22.97, 32, 1 1 0
26.57, 59, 0 0 6
32.07, 43, 0 2 4
35.40, 59, 1 1 6
39.81, 25, 2 1 4
40.34, 30, 3 0 0
54.73, 15, 2 2 6
58.55, 15, 2 1 10



Record 2
KGeCl3: computed PXRD pattern (CuKα), based on the PBE geometry in Alexandria.
Intensities are scaled so that the largest is 100.

Structure:
Unit cell a=5.2219 b=7.9024 c=8.4546 alpha=88.94 beta=79.59 gamma=87.60
Space group P1 (No. 1)
Inequivalent atoms, fractional coordinates:
K 0.0000 0.0000 0.0000 (multiplicity 1)
K 0.0577 0.4267 0.3972 (multiplicity 1)
Ge 0.5861 0.4920 0.8672 (multiplicity 1)
Ge 0.6343 0.9735 0.5017 (multiplicity 1)
Cl 0.1796 0.3960 0.0049 (multiplicity 1)
Cl 0.4621 0.5543 0.6166 (multiplicity 1)
Cl 0.5244 0.7764 0.9609 (multiplicity 1)
Cl 0.6164 0.1896 0.2987 (multiplicity 1)
Cl 0.8928 0.1292 0.6517 (multiplicity 1)
Cl 0.9937 0.8285 0.3465 (multiplicity 1)

Principal peaks in the range 2θ from 15° to 90°, in order of rising 2θ:
two_theta, I_rel, hkl
15.39, 36, 0 1 1
18.61, 53, 1 0 1
21.01, 39, 1 -1 0
21.36, 100, 0 0 2
22.52, 44, 0 2 0
24.43, 52, 1 1 -1
24.93, 80, -1 1 1
27.89, 39, 1 -1 2
31.42, 37, 0 2 -2
40.40, 52, 1 2 3



Record 3
K2MnGeCl6: computed PXRD pattern (CuKα), based on the PBE geometry in Alexandria.
Intensities are scaled so that the largest is 100.

Structure:
Unit cell a=7.1765 b=7.1871 c=7.2453 alpha=119.49 beta=119.38 gamma=90.22
Space group P-1 (No. 2)
Inequivalent atoms, fractional coordinates:
K 0.2389 0.2602 0.9996 (multiplicity 2)
Mn 0.0000 0.5000 0.5000 (multiplicity 1)
Ge 0.5000 0.0000 0.5000 (multiplicity 1)
Cl 0.1846 0.1994 0.4946 (multiplicity 2)
Cl 0.2215 0.7178 0.9881 (multiplicity 2)
Cl 0.3174 0.7079 0.5411 (multiplicity 2)

Principal peaks in the range 2θ from 15° to 90°, in order of rising 2θ:
two_theta, I_rel, hkl
17.05, 51, 0 0 1
17.46, 72, 1 -1 0
24.47, 66, -1 1 1
24.79, 81, 2 0 -1
29.07, 44, 2 -1 0
34.49, 100, 0 0 2
35.28, 72, 2 -2 0
35.42, 67, 2 2 -2
43.43, 57, 1 -3 2
50.16, 68, -2 2 2